# Li3VBPO7
Computed XRD peak list, Cu Kα, 1.54184 Å. Input: a GGA+U-relaxed structure.
Kinematic intensities with the Lorentz-polarization factor, no thermal factor.

Main lines, low angle first (2θ from 5° to 70°):
10.5 deg, d = 8.432 Å, I 87.8; 17.4 deg, d = 5.104 Å, I 33.1; 19.6 deg, d = 4.536 Å, I 42.9; 21.4 deg, d = 4.148 Å, I 57.1; 26.1 deg, d = 3.409 Å, I 38.2; 27.8 deg, d = 3.206 Å, I 100.0

Crystal structure
```
Li3VBPO7
1.0
5.0708 0.0000 0.0000
0.0000 6.4129 0.0000
-0.8584 0.0000 8.4319
Li V B P O
6 2 2 2 14
Cartesian
1.0818 1.6032 0.8026
0.6676 3.2176 6.4269
0.6676 6.4017 6.4269
3.5447 0.0111 2.0050
3.5447 3.1953 2.0050
3.1306 4.8097 7.6293
0.8046 4.8097 2.7031
3.4078 1.6032 5.7287
1.4869 4.8097 0.3446
2.7255 1.6032 8.0872
0.9807 1.6032 3.5287
3.2316 4.8097 4.9031
0.1416 4.8097 0.7054
0.1943 1.6032 4.8531
0.5900 0.4007 2.6110
0.5900 2.8058 2.6110
1.1351 4.8097 7.5199
1.7178 4.8097 4.6056
2.3427 4.8097 1.4881
1.8696 1.6032 6.9438
2.4945 1.6032 3.8262
3.0772 1.6032 0.9119
3.6224 3.6071 5.8208
3.6224 6.0122 5.8208
4.0180 4.8097 3.5788
4.0707 1.6032 7.7265
```